Starting from the GGA-PBE geometry in OQMD, the powder diffraction line list of Sr2TbSnO6 was computed for Cu Kα.
Kinematic intensities with the Lorentz-polarization factor, no thermal factor.

Principal peaks in the range 15 to 90 degrees two-theta, most intense first:
2theta	intensity	index
30.24	100	1 1 2
30.04	95	0 1 -1
30.54	51	2 1 1
30.35	49	1 2 1
53.60	34	1 -2 1
43.14	29	0 2 2
43.30	28	2 2 0
43.45	25	2 0 2
53.50	24	-2 1 1
53.28	23	1 1 -2
21.22	23	0 1 1
54.25	22	3 2 3

Atomic structure:
```
data_Sr2TbSnO6
_chemical_formula_sum 'Sr2 Tb1 Sn1 O6'
_space_group_name_H-M_alt 'P -1'
_space_group_IT_number 2
_cell_length_a 5.8550
_cell_length_b 5.8904
_cell_length_c 5.9057
_cell_angle_alpha 60.55
_cell_angle_beta 60.80
_cell_angle_gamma 60.50
loop_
_space_group_symop_operation_xyz
'x,y,z'
'-x,-y,-z'
loop_
_atom_site_label
_atom_site_fract_x
_atom_site_fract_y
_atom_site_fract_z
Sr1 0.2385 0.2478 0.2674
Tb1 0.0000 0.0000 0.0000
Sn1 0.5000 0.5000 0.5000
O1 0.1937 0.3252 0.6911
O2 0.2204 0.8049 0.6756
O3 0.3594 0.7431 0.1632
```

***

Starting from the GGA-PBE geometry in OQMD, the powder diffraction line list of CdIn2Pb2 was computed for Cu Kα.
Kinematic intensities with the Lorentz-polarization factor, no thermal factor.

Principal peaks in the range 15 to 90 degrees two-theta, most intense first:
2theta	intensity	index
29.49	100	1 1 2
38.18	41	2 0 0
36.61	37	1 1 4
63.74	23	3 1 2
36.36	20	1 0 5
55.10	14	2 2 0
70.83	13	1 1 10
26.40	13	1 0 3
67.99	12	3 1 4
24.54	12	0 0 4
54.35	12	2 0 6
53.74	12	2 1 5

Atomic structure:
```
data_CdIn2Pb2
_chemical_formula_sum 'Cd2 In4 Pb4'
_space_group_name_H-M_alt 'I 4/m m m'
_space_group_IT_number 139
_space_group_name_Hall '-I 4 2'
_cell_length_a 4.7140
_cell_length_b 4.7140
_cell_length_c 14.5091
_cell_angle_alpha 90.00
_cell_angle_beta 90.00
_cell_angle_gamma 90.00
loop_
_atom_site_label
_atom_site_fract_x
_atom_site_fract_y
_atom_site_fract_z
Cd1 0.0000 0.0000 0.0000
In1 0.0000 0.0000 0.4005
Pb1 0.0000 0.5000 0.2500
```

***

Starting from the GGA-PBE geometry in OQMD, the powder diffraction line list of La2TbSn6Pb was computed for Cu Kα.
Kinematic intensities with the Lorentz-polarization factor, no thermal factor.

Principal peaks in the range 15 to 90 degrees two-theta, most intense first:
2theta	intensity	index
32.15	100	1 5 1
38.23	17	0 0 2
34.16	16	0 10 0
39.30	16	2 0 0
65.30	13	1 5 3
66.77	13	3 5 1
55.99	12	2 0 2
52.20	10	0 10 2
67.24	10	2 10 2
53.04	10	2 10 0
59.90	9	1 15 1
36.36	4	1 7 1

Atomic structure:
```
data_La2TbSn6Pb
_chemical_formula_sum 'La4 Tb2 Sn12 Pb2'
_space_group_name_H-M_alt 'C m m m'
_space_group_IT_number 65
_space_group_name_Hall '-C 2 2'
_cell_length_a 4.5849
_cell_length_b 26.2446
_cell_length_c 4.7086
_cell_angle_alpha 90.00
_cell_angle_beta 90.00
_cell_angle_gamma 90.00
loop_
_atom_site_label
_atom_site_fract_x
_atom_site_fract_y
_atom_site_fract_z
La1 0.0000 0.1846 0.0000
Tb1 0.0000 0.0000 0.0000
Sn1 0.0000 0.0945 0.5000
Sn2 0.0000 0.2885 0.5000
Sn3 0.0000 0.4068 0.0000
Pb1 0.0000 0.5000 0.5000
```

***

Starting from the GGA-PBE geometry in OQMD, the powder diffraction line list of Y2TlFeCu was computed for Cu Kα.
Kinematic intensities with the Lorentz-polarization factor, no thermal factor.

Principal peaks in the range 15 to 90 degrees two-theta, most intense first:
2theta	intensity	index
33.41	100	1 1 1
34.73	63	1 0 4
38.73	43	0 1 5
29.16	35	0 1 3
58.38	28	1 2 4
45.38	22	0 2 0
45.97	21	1 1 5
63.91	19	2 1 5
48.72	17	2 0 0
23.11	13	0 1 1
81.17	13	3 1 1
37.77	13	0 0 6

Atomic structure:
```
data_Y2TlFeCu
_chemical_formula_sum 'Y4 Tl2 Fe2 Cu2'
_space_group_name_H-M_alt 'A m m 2'
_space_group_IT_number 38
_cell_length_a 3.7379
_cell_length_b 3.9970
_cell_length_c 14.2922
_cell_angle_alpha 90.00
_cell_angle_beta 90.00
_cell_angle_gamma 90.00
loop_
_space_group_symop_operation_xyz
'x,y,z'
'-x,-y,z'
'-x,y,z'
'x,-y,z'
'x,y+1/2,z+1/2'
'-x,-y+1/2,z+1/2'
'-x,y+1/2,z+1/2'
'x,-y+1/2,z+1/2'
loop_
_atom_site_label
_atom_site_fract_x
_atom_site_fract_y
_atom_site_fract_z
Y1 0.0000 0.0000 0.0000
Y2 0.0000 0.0000 0.2727
Tl1 0.5000 0.0000 0.6403
Fe1 0.5000 0.0000 0.8406
Cu1 0.5000 0.0000 0.4359
```

***

Starting from the GGA-PBE geometry in OQMD, the powder diffraction line list of Li6Tb2O7 was computed for Cu Kα.
Kinematic intensities with the Lorentz-polarization factor, no thermal factor.

Principal peaks in the range 15 to 90 degrees two-theta, most intense first:
2theta	intensity	index
15.41	100	0 0 1
16.43	42	1 0 0
22.14	40	1 0 1
30.64	34	1 1 -1
25.76	25	1 -1 0
21.94	24	1 1 0
27.15	24	-1 1 1
38.65	23	1 2 2
40.12	23	2 -1 0
29.83	18	0 1 2
18.70	16	0 1 1
43.85	16	1 1 -2

Atomic structure:
```
data_Li6Tb2O7
_chemical_formula_sum 'Li6 Tb2 O7'
_space_group_name_H-M_alt 'P -1'
_space_group_IT_number 2
_cell_length_a 5.4928
_cell_length_b 5.5783
_cell_length_c 6.1710
_cell_angle_alpha 68.81
_cell_angle_beta 84.10
_cell_angle_gamma 79.47
loop_
_space_group_symop_operation_xyz
'x,y,z'
'-x,-y,-z'
loop_
_atom_site_label
_atom_site_fract_x
_atom_site_fract_y
_atom_site_fract_z
Li1 0.0361 0.2193 0.4179
Li2 0.3543 0.6720 0.2996
Li3 0.3985 0.7444 0.8272
Tb1 0.1450 0.2545 0.9205
O1 0.0423 0.0012 0.7454
O2 0.2251 0.4689 0.1507
O3 0.3124 0.5634 0.6257
O4 0.5000 0.0000 0.0000
```

***

Starting from the GGA-PBE geometry in OQMD, the powder diffraction line list of K2SnMo2S6 was computed for Cu Kα.
Kinematic intensities with the Lorentz-polarization factor, no thermal factor.

Principal peaks in the range 15 to 90 degrees two-theta, most intense first:
2theta	intensity	index
36.39	100	2 -1 2
29.74	46	2 -1 1
27.20	44	1 1 0
48.08	31	3 0 0
45.62	25	1 1 3
56.51	24	1 1 4
81.89	23	5 -1 2
61.77	21	2 2 2
49.68	17	3 0 1
23.71	16	0 0 2
54.29	12	3 0 2
70.70	10	3 0 4

Atomic structure:
```
data_K2SnMo2S6
_chemical_formula_sum 'K2 Sn1 Mo2 S6'
_space_group_name_H-M_alt 'P -3 1 m'
_space_group_IT_number 162
_space_group_name_Hall '-P 3 2'
_cell_length_a 6.5559
_cell_length_b 6.5559
_cell_length_c 7.5055
_cell_angle_alpha 90.00
_cell_angle_beta 90.00
_cell_angle_gamma 120.00
loop_
_atom_site_label
_atom_site_fract_x
_atom_site_fract_y
_atom_site_fract_z
K1 0.3333 0.6667 0.0000
Sn1 0.0000 0.0000 0.5000
Mo1 0.3333 0.6667 0.5000
S1 0.0000 0.3650 0.6796
```